# NpTlB2O6
Theoretical X-ray powder pattern, Cu Kα, 1.54184 Å. Input: a PBE-relaxed structure.
Kinematic intensities with the Lorentz-polarization factor, no thermal factor.

Peak list (10 most intense, 10 to 90 degrees two-theta, most intense first)
d (Å)  intensity
4.029  100.0
3.202  95.3
4.272  87.1
3.433  72.9
2.719  59.3
2.089  41.8
2.029  31.8
3.133  26.7
1.938  23.8
2.079  23.5

a = 6.672 Å, b = 6.672 Å, c = 7.146 Å
α = 100.62°, β = 100.62°, γ = 96.45°
Element x y z (fractional)
Np  0.175  0.825  0.750
Np  0.825  0.175  0.250
Tl  0.394  0.606  0.250
Tl  0.606  0.394  0.750
B  0.098  0.307  0.698
B  0.307  0.098  0.198
B  0.693  0.902  0.802
B  0.902  0.693  0.302
O  0.086  0.733  0.441
O  0.148  0.198  0.246
O  0.180  0.508  0.790
O  0.198  0.148  0.746
O  0.267  0.914  0.059
O  0.492  0.820  0.710
O  0.508  0.180  0.290
O  0.733  0.086  0.941
O  0.802  0.852  0.254
O  0.820  0.492  0.210
O  0.852  0.802  0.754
O  0.914  0.267  0.559



# Y2Ho2Te5
Theoretical X-ray powder pattern, Cu Kα, 1.54184 Å. Input: a PBE-relaxed structure.
Kinematic intensities with the Lorentz-polarization factor, no thermal factor.

Peak list (10 most intense, 10 to 90 degrees two-theta, most intense first)
d (Å)  intensity
3.063  100.0
3.028  97.0
3.079  81.1
2.153  74.0
1.765  63.7
2.159  63.4
2.171  60.6
1.358  29.7
5.105  28.5
4.318  24.7

a = 9.721 Å, b = 9.721 Å, c = 6.126 Å
α = 90.00°, β = 90.00°, γ = 143.70°
Element x y z (fractional)
Y  0.156  0.844  0.000
Y  0.844  0.156  0.000
Ho  0.316  0.684  0.500
Ho  0.684  0.316  0.500
Te  0.000  0.000  0.000
Te  0.153  0.847  0.500
Te  0.331  0.669  0.000
Te  0.669  0.331  0.000
Te  0.847  0.153  0.500



# Tm8SiPb4Se3
Theoretical X-ray powder pattern, Cu Kα, 1.54184 Å. Input: a PBE-relaxed structure.
Kinematic intensities with the Lorentz-polarization factor, no thermal factor.

Peak list (10 most intense, 10 to 90 degrees two-theta, most intense first)
d (Å)  intensity
2.954  100.0
2.206  38.4
1.989  34.2
2.756  15.8
1.649  12.0
1.572  11.1
1.477  10.9
3.407  10.5
1.271  10.2
1.378  9.0

a = 7.961 Å, b = 7.961 Å, c = 8.940 Å
α = 116.58°, β = 116.58°, γ = 59.89°
Element x y z (fractional)
Tm  0.234  0.234  0.713
Tm  0.234  0.746  0.713
Tm  0.254  0.766  0.287
Tm  0.260  0.260  0.280
Tm  0.740  0.740  0.720
Tm  0.746  0.234  0.713
Tm  0.766  0.254  0.287
Tm  0.766  0.766  0.287
Si  0.000  0.000  0.500
Pb  0.000  0.000  0.000
Pb  0.000  0.500  0.000
Pb  0.500  0.000  0.000
Pb  0.500  0.500  0.000
Se  0.000  0.500  0.500
Se  0.500  0.000  0.500
Se  0.500  0.500  0.500



# Ti6Pt2C
Theoretical X-ray powder pattern, Cu Kα, 1.54184 Å. Input: a PBE-relaxed structure.
Kinematic intensities with the Lorentz-polarization factor, no thermal factor.

Peak list (10 most intense, 10 to 90 degrees two-theta, most intense first)
d (Å)  intensity
2.334  100.0
3.543  53.6
6.217  46.4
3.104  43.0
2.196  41.5
3.613  35.3
2.354  34.8
2.072  31.0
2.363  25.8
6.098  22.9

a = 3.102 Å, b = 7.088 Å, c = 7.088 Å
α = 118.71°, β = 90.00°, γ = 90.00°
Element x y z (fractional)
Ti  0.000  0.000  0.000
Ti  0.000  0.545  0.766
Ti  0.000  0.766  0.545
Ti  0.500  0.152  0.779
Ti  0.500  0.331  0.331
Ti  0.500  0.779  0.152
Pt  0.000  0.110  0.450
Pt  0.000  0.450  0.110
C  0.500  0.795  0.795



# Cs3Mg2F9
Theoretical X-ray powder pattern, Cu Kα, 1.54184 Å. Input: a PBE-relaxed structure.
Kinematic intensities with the Lorentz-polarization factor, no thermal factor.

Peak list (10 most intense, 10 to 90 degrees two-theta, most intense first)
d (Å)  intensity
4.448  100.0
3.229  90.0
3.067  77.0
2.525  74.3
2.224  65.3
1.800  32.6
2.711  24.6
1.949  24.4
2.031  23.6
1.534  20.1

a = 6.134 Å, b = 6.134 Å, c = 8.133 Å
α = 90.00°, β = 90.00°, γ = 120.00°
Element x y z (fractional)
Cs  0.000  0.000  0.000
Cs  0.333  0.667  0.363
Cs  0.667  0.333  0.637
Mg  0.333  0.667  0.876
Mg  0.667  0.333  0.124
F  0.000  0.500  0.000
F  0.191  0.381  0.713
F  0.191  0.809  0.713
F  0.381  0.191  0.287
F  0.500  0.000  0.000
F  0.500  0.500  0.000
F  0.619  0.809  0.713
F  0.809  0.191  0.287
F  0.809  0.619  0.287



# La2Mg3Ag9
Theoretical X-ray powder pattern, Cu Kα, 1.54184 Å. Input: a PBE-relaxed structure.
Kinematic intensities with the Lorentz-polarization factor, no thermal factor.

Peak list (10 most intense, 10 to 90 degrees two-theta, most intense first)
d (Å)  intensity
2.804  100.0
2.217  97.0
2.458  28.7
2.567  25.3
2.556  24.5
1.478  19.1
1.618  14.1
1.893  12.2
1.402  11.9
1.888  11.7

a = 5.848 Å, b = 5.848 Å, c = 10.225 Å
α = 90.00°, β = 90.00°, γ = 122.74°
Element x y z (fractional)
La  0.000  0.500  0.246
La  0.500  0.000  0.754
Mg  0.000  0.000  0.500
Mg  0.500  0.500  0.000
Mg  0.500  0.500  0.500
Ag  0.000  0.000  0.000
Ag  0.000  0.500  0.553
Ag  0.000  0.500  0.942
Ag  0.196  0.305  0.748
Ag  0.305  0.196  0.252
Ag  0.500  0.000  0.058
Ag  0.500  0.000  0.447
Ag  0.695  0.804  0.252
Ag  0.804  0.695  0.748



# Pr2PuBr2N2
Theoretical X-ray powder pattern, Cu Kα, 1.54184 Å. Input: a PBE-relaxed structure.
Kinematic intensities with the Lorentz-polarization factor, no thermal factor.

Peak list (10 most intense, 10 to 90 degrees two-theta, most intense first)
d (Å)  intensity
2.612  100.0
3.146  78.9
1.694  54.7
8.066  47.9
2.225  35.6
1.153  15.9
1.407  14.6
1.436  13.1
1.348  12.8
1.573  11.9

a = 4.450 Å, b = 4.450 Å, c = 16.132 Å
α = 90.00°, β = 90.00°, γ = 90.00°
Element x y z (fractional)
Pr  0.000  0.000  0.097
Pr  0.000  0.000  0.903
Pr  0.500  0.500  0.403
Pr  0.500  0.500  0.597
Pu  0.000  0.000  0.500
Pu  0.500  0.500  0.000
Br  0.000  0.000  0.313
Br  0.000  0.000  0.687
Br  0.500  0.500  0.187
Br  0.500  0.500  0.813
N  0.000  0.500  0.000
N  0.000  0.500  0.500
N  0.500  0.000  0.000
N  0.500  0.000  0.500



# La5Se5S
Theoretical X-ray powder pattern, Cu Kα, 1.54184 Å. Input: a PBE-relaxed structure.
Kinematic intensities with the Lorentz-polarization factor, no thermal factor.

Peak list (10 most intense, 10 to 90 degrees two-theta, most intense first)
d (Å)  intensity
3.029  100.0
2.138  74.1
3.018  50.0
1.350  24.9
1.742  19.7
1.752  19.3
2.133  18.6
1.232  18.5
2.151  18.3
1.354  16.2

a = 7.440 Å, b = 7.440 Å, c = 8.532 Å
α = 106.73°, β = 106.73°, γ = 47.86°
Element x y z (fractional)
La  0.000  0.000  0.000
La  0.338  0.338  0.670
La  0.343  0.343  0.170
La  0.657  0.657  0.830
La  0.662  0.662  0.330
Se  0.169  0.169  0.836
Se  0.171  0.171  0.332
Se  0.500  0.500  0.500
Se  0.829  0.829  0.668
Se  0.831  0.831  0.164
S  0.500  0.500  0.000



# RbErVI6
Theoretical X-ray powder pattern, Cu Kα, 1.54184 Å. Input: a PBE-relaxed structure.
Kinematic intensities with the Lorentz-polarization factor, no thermal factor.

Peak list (10 most intense, 10 to 90 degrees two-theta, most intense first)
d (Å)  intensity
3.453  100.0
2.808  79.5
8.358  46.5
5.164  36.9
2.189  36.1
2.245  28.4
1.830  17.0
2.379  15.8
1.726  14.9
1.849  12.4

a = 7.583 Å, b = 7.583 Å, c = 16.716 Å
α = 90.00°, β = 90.00°, γ = 120.00°
Element x y z (fractional)
Rb  0.000  0.000  0.000
Rb  0.000  0.000  0.500
Er  0.333  0.667  0.250
Er  0.667  0.333  0.750
V  0.333  0.667  0.750
V  0.667  0.333  0.250
I  0.015  0.374  0.649
I  0.015  0.641  0.851
I  0.359  0.374  0.851
I  0.359  0.985  0.649
I  0.374  0.015  0.149
I  0.374  0.359  0.351
I  0.626  0.641  0.649
I  0.626  0.985  0.851
I  0.641  0.015  0.351
I  0.641  0.626  0.149
I  0.985  0.359  0.149
I  0.985  0.626  0.351



# NaCrCdH6
Theoretical X-ray powder pattern, Cu Kα, 1.54184 Å. Input: a PBE-relaxed structure.
Kinematic intensities with the Lorentz-polarization factor, no thermal factor.

Peak list (10 most intense, 10 to 90 degrees two-theta, most intense first)
d (Å)  intensity
3.259  100.0
2.514  93.9
4.102  59.5
1.699  55.1
2.304  34.8
2.639  18.2
4.499  18.0
2.009  17.1
1.457  15.6
1.176  14.7

a = 4.609 Å, b = 4.609 Å, c = 8.999 Å
α = 90.00°, β = 90.00°, γ = 90.00°
Element x y z (fractional)
Na  0.000  0.000  0.000
Na  0.500  0.500  0.500
Cr  0.000  0.000  0.335
Cr  0.500  0.500  0.835
Cd  0.000  0.000  0.667
Cd  0.500  0.500  0.167
H  0.174  0.174  0.481
H  0.193  0.193  0.202
H  0.234  0.234  0.815
H  0.266  0.734  0.315
H  0.307  0.693  0.702
H  0.326  0.674  0.981
H  0.674  0.326  0.981
H  0.693  0.307  0.702
H  0.734  0.266  0.315
H  0.766  0.766  0.815
H  0.807  0.807  0.202
H  0.826  0.826  0.481



# Co4SnSe8
Theoretical X-ray powder pattern, Cu Kα, 1.54184 Å. Input: a PBE-relaxed structure.
Kinematic intensities with the Lorentz-polarization factor, no thermal factor.

Peak list (10 most intense, 10 to 90 degrees two-theta, most intense first)
d (Å)  intensity
1.835  100.0
2.595  91.0
1.997  78.5
5.992  61.6
2.996  48.2
3.129  44.8
3.669  24.0
1.453  21.2
5.189  19.2
2.381  17.5

a = 7.339 Å, b = 7.339 Å, c = 7.339 Å
α = 60.00°, β = 60.00°, γ = 60.00°
Element x y z (fractional)
Co  0.381  0.381  0.381
Co  0.381  0.381  0.858
Co  0.381  0.858  0.381
Co  0.858  0.381  0.381
Sn  0.000  0.000  0.000
Se  0.145  0.145  0.145
Se  0.145  0.145  0.565
Se  0.145  0.565  0.145
Se  0.180  0.607  0.607
Se  0.565  0.145  0.145
Se  0.607  0.180  0.607
Se  0.607  0.607  0.180
Se  0.607  0.607  0.607



Which formula does entry 5 have?
Cs3Mg2F9



What is the formula in the fifth record?
Cs3Mg2F9